For Mn2Mo2NO10, DFT lattice parameters and positions (GGA+U) gives the theoretical X-ray diffraction stick pattern in this record (Cu Kα, 1.54184 Å).
Peak positions follow from Bragg's law for the DFT cell and can differ from measured ones.

The 10 most intense peaks (15 to 90 degrees two-theta), low angle first:
- 17.88 deg, I = 100.0
- 23.26 deg, I = 78.7
- 25.87 deg, I = 49.3
- 26.92 deg, I = 45.6
- 30.92 deg, I = 43.5
- 32.75 deg, I = 23.5
- 35.34 deg, I = 43.7
- 36.74 deg, I = 21.8
- 38.37 deg, I = 23.2
- 51.41 deg, I = 27.7

Atomic structure:
Cell: 9.939 5.944 8.450 Å, 90.00 115.13 90.00°
Space group C2/m (No. 12)
One atom of each set of equivalent atoms:
Mn1 0.250 0.250 0.000
Mo1 0.073 0.000 0.260
N1 0.000 0.500 0.500
O1 0.048 0.241 0.796
O2 0.182 0.000 0.118
O3 0.185 0.000 0.481
O4 0.195 0.500 0.091